SrZrBi3: simulated powder XRD pattern (copper Kα), based on a structure optimized by DFT (PBE).
Intensities are scaled so that the largest is 100.

The 8 most intense peaks (2θ = 10–90°), by angle:
2θ 26.32, intensity 92; 2θ 27.06, intensity 44; 2θ 29.10, intensity 55; 2θ 29.85, intensity 93; 2θ 30.96, intensity 100; 2θ 32.21, intensity 36; 2θ 38.22, intensity 62; 2θ 45.87, intensity 36

Atomic structure:
abc: 14.615 6.562 6.763
angles: 90.00 90.00 90.00
Fractional positions:
Sr 0.185 0.017 0.250
Sr 0.185 0.483 0.750
Sr 0.815 0.517 0.250
Sr 0.815 0.983 0.750
Zr 0.410 0.750 0.000
Zr 0.410 0.750 0.500
Zr 0.590 0.250 0.000
Zr 0.590 0.250 0.500
Bi 0.006 0.750 0.000
Bi 0.006 0.750 0.500
Bi 0.276 0.508 0.250
Bi 0.276 0.992 0.750
Bi 0.426 0.131 0.250
Bi 0.426 0.369 0.750
Bi 0.574 0.631 0.250
Bi 0.574 0.869 0.750
Bi 0.724 0.008 0.250
Bi 0.724 0.492 0.750
Bi 0.994 0.250 0.000
Bi 0.994 0.250 0.500